No. 1
The following is a theoretical PXRD pattern of SrPuH8Pd2. It was derived from the PBE geometry in Alexandria, using λ = 1.5418 Å (Cu Kα).
Lines closer than 0.1° are merged.

Most intense lines, 2θ = 15–90°, in order of rising 2θ:
- hkl 1 0 1, 2θ = 22.1°, rel. 10.0
- hkl 1 0 4, 2θ = 28.4°, rel. 100.0
- hkl 1 1 0, 2θ = 38.0°, rel. 51.3
- hkl 1 0 7, 2θ = 38.9°, rel. 14.5
- hkl 1 1 3, 2θ = 40.5°, rel. 14.6
- hkl 0 1 8, 2θ = 43.0°, rel. 26.1
- hkl 0 2 4, 2θ = 48.1°, rel. 23.8
- hkl 0 0 12, 2θ = 56.3°, rel. 9.7
- hkl 2 0 8, 2θ = 58.7°, rel. 10.2
- hkl 2 1 4, 2θ = 62.8°, rel. 21.7
- hkl 1 1 12, 2θ = 70.0°, rel. 11.7
- hkl 1 2 8, 2θ = 72.1°, rel. 11.3

Structural model:
```
data_SrPuH8Pd2
_chemical_formula_sum 'Sr3 Pu3 H24 Pd6'
_cell_length_a 4.7399
_cell_length_b 4.7399
_cell_length_c 19.5911
_cell_angle_alpha 90.00
_cell_angle_beta 90.00
_cell_angle_gamma 120.00
_symmetry_space_group_name_H-M 'R -3 m'
_symmetry_Int_Tables_number 166
_symmetry_space_group_name_Hall '-R 3 2"'
loop_
_atom_site_label
_atom_site_fract_x
_atom_site_fract_y
_atom_site_fract_z
Sr1 0.0000 0.0000 0.0000
Pu1 0.0000 0.0000 0.5000
H1 0.0000 0.0000 0.1435
H2 0.0537 0.5268 0.0659
Pd1 0.0000 0.0000 0.2318
```



No. 2
The following is a theoretical PXRD pattern of Sm6Ho5Mg2. It was derived from the PBE geometry in Alexandria, using λ = 1.5418 Å (Cu Kα).
Lines closer than 0.1° are merged.

Most intense lines, 2θ = 15–90°, in order of rising 2θ:
- hkl 1 2 1, 2θ = 27.8°, rel. 37.9
- hkl 3 3 0, 2θ = 28.2°, rel. 96.1
- hkl 0 4 1, 2θ = 29.8°, rel. 86.2
- hkl 0 8 0, 2θ = 31.5°, rel. 97.5
- hkl 3 5 0, 2θ = 32.4°, rel. 100.0
- hkl 2 3 1, 2θ = 32.8°, rel. 75.9
- hkl 2 4 1, 2θ = 34.5°, rel. 34.2
- hkl 3 1 1, 2θ = 36.5°, rel. 46.2
- hkl 2 5 1, 2θ = 36.5°, rel. 40.8
- hkl 0 0 2, 2θ = 51.7°, rel. 53.2
- hkl 0 8 2, 2θ = 61.9°, rel. 31.8
- hkl 3 5 2, 2θ = 62.4°, rel. 30.8

Structural model:
```
data_Sm6Ho5Mg2
_chemical_formula_sum 'Sm12 Ho10 Mg4'
_cell_length_a 10.440
_cell_length_b 22.714
_cell_length_c 3.532
_cell_angle_alpha 90.00
_cell_angle_beta 90.00
_cell_angle_gamma 90.00
_symmetry_space_group_name_H-M 'P b a m'
_symmetry_Int_Tables_number 55
_symmetry_space_group_name_Hall '-P 2 2ab'
loop_
_atom_site_label
_atom_site_fract_x
_atom_site_fract_y
_atom_site_fract_z
Sm1 0.018 0.113 0.000
Sm2 0.145 0.383 0.000
Sm3 0.170 0.634 0.500
Ho1 0.000 0.500 0.500
Ho2 0.081 0.249 0.500
Ho3 0.166 0.994 0.500
Mg1 0.169 0.761 0.000
```



No. 3
The following is a theoretical PXRD pattern of Y4Ho5Tm. It was derived from the PBE geometry in Alexandria, using λ = 1.5418 Å (Cu Kα).
Lines closer than 0.1° are merged.

Most intense lines, 2θ = 15–90°, in order of rising 2θ:
- hkl 2 2 0, 2θ = 23.8°, rel. 16.2
- hkl 3 0 1, 2θ = 29.6°, rel. 100.0
- hkl 1 1 2, 2θ = 32.8°, rel. 11.8
- hkl 3 2 1, 2θ = 34.2°, rel. 15.8
- hkl 2 0 2, 2θ = 35.0°, rel. 34.4
- hkl 3 3 0, 2θ = 36.1°, rel. 46.2
- hkl 3 1 2, 2θ = 41.0°, rel. 17.7
- hkl 4 2 2, 2θ = 49.6°, rel. 11.6
- hkl 6 0 0, 2θ = 51.9°, rel. 13.4
- hkl 3 0 3, 2θ = 53.7°, rel. 14.6
- hkl 5 3 2, 2θ = 60.0°, rel. 20.3
- hkl 6 3 1, 2θ = 60.9°, rel. 15.8

Structural model:
```
data_Y4Ho5Tm
_chemical_formula_sum 'Y8 Ho10 Tm2'
_cell_length_a 10.562
_cell_length_b 10.562
_cell_length_c 5.860
_cell_angle_alpha 90.00
_cell_angle_beta 90.00
_cell_angle_gamma 90.00
_symmetry_space_group_name_H-M 'I 4 m m'
_symmetry_Int_Tables_number 107
_symmetry_space_group_name_Hall 'I 4 -2'
loop_
_atom_site_label
_atom_site_fract_x
_atom_site_fract_y
_atom_site_fract_z
Y1 0.000 0.321 0.000
Ho1 0.000 0.000 0.237
Ho2 0.188 0.188 0.501
Tm1 0.000 0.000 0.765
```



No. 4
The following is a theoretical PXRD pattern of Ac8Pr4Nd. It was derived from the PBE geometry in Alexandria, using λ = 1.5418 Å (Cu Kα).
Lines closer than 0.1° are merged.

Most intense lines, 2θ = 15–90°, in order of rising 2θ:
- hkl 3 1 1, 2θ = 28.1°, rel. 100.0
- hkl 0 2 0, 2θ = 32.4°, rel. 17.5
- hkl 4 0 -3, 2θ = 32.7°, rel. 33.9
- hkl 4 2 -3, 2θ = 46.7°, rel. 25.6
- hkl 6 0 2, 2θ = 46.9°, rel. 12.6
- hkl 3 3 1, 2θ = 55.2°, rel. 7.9
- hkl 1 3 -4, 2θ = 55.2°, rel. 7.9
- hkl 5 1 6, 2θ = 55.5°, rel. 15.4
- hkl 7 1 -2, 2θ = 55.7°, rel. 15.3
- hkl 6 2 2, 2θ = 58.2°, rel. 13.4
- hkl 7 3 -2, 2θ = 75.3°, rel. 9.5
- hkl 4 4 -3, 2θ = 77.3°, rel. 6.0

Structural model:
```
data_Ac8Pr4Nd
_chemical_formula_sum 'Ac16 Pr8 Nd2'
_cell_length_a 12.245
_cell_length_b 5.529
_cell_length_c 15.967
_cell_angle_alpha 90.00
_cell_angle_beta 94.22
_cell_angle_gamma 90.00
_symmetry_space_group_name_H-M 'C 1 m 1'
_symmetry_Int_Tables_number 8
_symmetry_space_group_name_Hall 'C -2y'
loop_
_atom_site_label
_atom_site_fract_x
_atom_site_fract_y
_atom_site_fract_z
Ac1 0.000 0.000 0.000
Ac2 0.033 0.500 0.381
Ac3 0.074 0.000 0.765
Ac4 0.190 0.500 0.919
Ac5 0.225 0.000 0.305
Ac6 0.308 0.000 0.076
Ac7 0.342 0.500 0.462
Ac8 0.458 0.000 0.615
Pr1 0.115 0.500 0.153
Pr2 0.152 0.000 0.538
Pr3 0.381 0.000 0.843
Pr4 0.418 0.500 0.228
Nd1 0.266 0.500 0.690
```



No. 5
The following is a theoretical PXRD pattern of Al4Br5. It was derived from the PBE geometry in Alexandria, using λ = 1.5418 Å (Cu Kα).
Lines closer than 0.1° are merged.

Most intense lines, 2θ = 15–90°, in order of rising 2θ:
- hkl 1 1 0, 2θ = 19.2°, rel. 29.2
- hkl 1 1 1, 2θ = 23.1°, rel. 39.1
- hkl 1 0 2, 2θ = 28.2°, rel. 33.5
- hkl 2 1 0, 2θ = 29.4°, rel. 52.9
- hkl 2 1 1, 2θ = 32.2°, rel. 100.0
- hkl 1 1 2, 2θ = 32.4°, rel. 91.0
- hkl 3 0 2, 2θ = 42.8°, rel. 23.1
- hkl 2 2 2, 2θ = 47.3°, rel. 18.8
- hkl 2 1 3, 2θ = 49.8°, rel. 28.4
- hkl 4 1 0, 2θ = 52.2°, rel. 29.0
- hkl 4 0 2, 2θ = 52.8°, rel. 33.3
- hkl 5 2 2, 2θ = 79.6°, rel. 23.6

Structural model:
```
data_Al4Br5
_chemical_formula_sum 'Al8 Br10'
_cell_length_a 9.2689
_cell_length_b 9.2689
_cell_length_c 6.8890
_cell_angle_alpha 90.00
_cell_angle_beta 90.00
_cell_angle_gamma 120.00
_symmetry_space_group_name_H-M 'P 63/m c m'
_symmetry_Int_Tables_number 193
_symmetry_space_group_name_Hall '-P 6c 2'
loop_
_atom_site_label
_atom_site_fract_x
_atom_site_fract_y
_atom_site_fract_z
Al1 0.0000 0.0000 0.0000
Al2 0.0000 0.4688 0.2500
Br1 0.0000 0.2245 0.7500
Br2 0.3333 0.6667 0.0000
```



No. 6
The following is a theoretical PXRD pattern of Pm6Sm2Tl. It was derived from the PBE geometry in Alexandria, using λ = 1.5418 Å (Cu Kα).
Lines closer than 0.1° are merged.

Most intense lines, 2θ = 15–90°, in order of rising 2θ:
- hkl 6 0 0, 2θ = 31.4°, rel. 100.0
- hkl 0 2 1, 2θ = 31.5°, rel. 61.7
- hkl 3 1 1, 2θ = 31.6°, rel. 30.1
- hkl 6 2 -1, 2θ = 45.0°, rel. 11.8
- hkl 6 2 1, 2θ = 45.1°, rel. 22.4
- hkl 9 3 0, 2θ = 55.8°, rel. 19.0
- hkl 0 6 0, 2θ = 55.9°, rel. 24.4
- hkl 3 5 1, 2θ = 56.0°, rel. 12.0
- hkl 3 3 -2, 2θ = 62.7°, rel. 9.2
- hkl 6 0 2, 2θ = 62.8°, rel. 13.7
- hkl 6 6 0, 2θ = 65.5°, rel. 7.8
- hkl 9 3 2, 2θ = 80.6°, rel. 8.8

Structural model:
```
data_Pm6Sm2Tl
_chemical_formula_sum 'Pm12 Sm4 Tl2'
_cell_length_a 17.147
_cell_length_b 9.868
_cell_length_c 3.465
_cell_angle_alpha 90.00
_cell_angle_beta 90.23
_cell_angle_gamma 90.00
_symmetry_space_group_name_H-M 'C 1 2/m 1'
_symmetry_Int_Tables_number 12
_symmetry_space_group_name_Hall '-C 2y'
loop_
_atom_site_label
_atom_site_fract_x
_atom_site_fract_y
_atom_site_fract_z
Pm1 0.000 0.176 0.000
Pm2 0.163 0.336 0.996
Sm1 0.166 0.000 0.499
Tl1 0.000 0.500 0.500
```